Calculated X-ray diffraction stick pattern of Mn13Cr3O32 for Cu Ka, from a crystal structure in the Materials Project, relaxed with PBE+U.
Peak positions follow from Bragg's law for the DFT cell and can differ from measured ones.

Crystal structure
a = 8.2774 Å, b = 8.2774 Å, c = 10.1230 Å
α = 114.10°, β = 114.10°, γ = 89.95°
Fractional coordinates of all 48 atoms:
Mn 0.0000 0.0000 0.0000
Mn 0.0000 0.5000 0.5000
Mn 0.1254 0.3745 0.2498
Mn 0.1248 0.3751 0.7500
Mn 0.2494 0.2494 0.0001
Mn 0.3745 0.1254 0.2498
Mn 0.3751 0.1248 0.7500
Mn 0.5000 0.0000 0.5000
Mn 0.6249 0.8752 0.2500
Mn 0.6255 0.8746 0.7502
Mn 0.7506 0.7506 0.9999
Mn 0.8752 0.6249 0.2500
Mn 0.8746 0.6255 0.7502
Cr 0.2499 0.7501 0.5000
Cr 0.5000 0.5000 0.0000
Cr 0.7501 0.2499 0.5000
O 0.0072 0.7264 0.4845
O 0.0223 0.2420 0.0149
O 0.1020 0.6022 0.7350
O 0.1167 0.6165 0.2649
O 0.1325 0.1325 0.2351
O 0.1478 0.1478 0.7649
O 0.2264 0.5071 0.4844
O 0.2420 0.0223 0.0149
O 0.2568 0.4758 0.9845
O 0.2736 0.9928 0.5155
O 0.3525 0.3525 0.2352
O 0.3671 0.3671 0.7656
O 0.3835 0.8833 0.7351
O 0.3978 0.8980 0.2650
O 0.4758 0.2568 0.9845
O 0.4929 0.7736 0.5156
O 0.5071 0.2264 0.4844
O 0.5242 0.7432 0.0155
O 0.6022 0.1020 0.7350
O 0.6165 0.1167 0.2649
O 0.6329 0.6329 0.2344
O 0.6475 0.6475 0.7648
O 0.7264 0.0072 0.4845
O 0.7432 0.5242 0.0155
O 0.7580 0.9777 0.9851
O 0.7736 0.4929 0.5156
O 0.8522 0.8522 0.2351
O 0.8675 0.8675 0.7649
O 0.8833 0.3835 0.7351
O 0.8980 0.3978 0.2650
O 0.9777 0.7580 0.9851
O 0.9928 0.2736 0.5155

Largest 11 diffraction maxima, sorted by position, 5 to 70 degrees two-theta:
two_theta  I/Imax
18.57  100
36.00  33
37.66  9
43.77  49
47.93  9
57.90  12
57.98  4
63.59  17
63.67  8
66.87  8
66.95  6

Calculated X-ray diffraction stick pattern of Mn5Cr2O12 for Cu Ka, from a crystal structure in the Materials Project, relaxed with PBE+U.
Peak positions follow from Bragg's law for the DFT cell and can differ from measured ones.

Crystal structure
a = 5.0560 Å, b = 5.1744 Å, c = 9.9287 Å
α = 83.05°, β = 76.42°, γ = 61.18°
Fractional coordinates of all 19 atoms:
Mn 0.0000 0.0000 0.0000
Mn 0.0059 0.9941 0.5003
Mn 0.6648 0.6774 0.4996
Mn 0.7980 0.4009 0.7718
Mn 0.8079 0.4067 0.2276
Cr 0.3251 0.3675 0.0035
Cr 0.3376 0.3331 0.4999
O 0.0226 0.3606 0.3903
O 0.0950 0.2910 0.8850
O 0.1858 0.1010 0.1234
O 0.2851 0.9975 0.5984
O 0.3570 0.6701 0.8961
O 0.4246 0.6441 0.3845
O 0.6183 0.2958 0.1127
O 0.6211 0.3627 0.6113
O 0.7219 0.0039 0.4012
O 0.7250 0.0905 0.8760
O 0.9433 0.6449 0.6125
O 0.9605 0.6800 0.1068

Largest 12 diffraction maxima, sorted by position, 5 to 70 degrees two-theta:
two_theta  I/Imax
9.16  21
18.39  100
19.58  40
20.48  17
20.65  25
24.66  63
37.51  29
41.49  75
42.01  76
46.12  59
59.69  19
63.28  18

Calculated X-ray diffraction stick pattern of Mn2CrO4 for Cu Ka, from a crystal structure in the Materials Project, relaxed with PBE+U.
Peak positions follow from Bragg's law for the DFT cell and can differ from measured ones.

Crystal structure
a = 6.0582 Å, b = 6.0582 Å, c = 6.0217 Å
α = 119.24°, β = 119.24°, γ = 91.38°
Fractional coordinates of all 14 atoms:
Mn 0.0000 0.5000 0.0000
Mn 0.1257 0.8743 0.7500
Mn 0.5000 0.0000 0.5000
Mn 0.8743 0.1257 0.2500
Cr 0.5000 0.5000 0.0000
Cr 0.5000 0.5000 0.5000
O 0.2643 0.7326 0.0218
O 0.2674 0.7357 0.4782
O 0.2734 0.2829 0.0316
O 0.2829 0.2734 0.5316
O 0.7171 0.7266 0.4684
O 0.7266 0.7171 0.9684
O 0.7326 0.2643 0.5218
O 0.7357 0.2674 0.9782

Largest 12 diffraction maxima, sorted by position, 5 to 70 degrees two-theta:
two_theta  I/Imax
17.90  34
29.24  30
29.51  43
34.41  100
34.58  93
35.03  91
41.67  21
55.11  31
55.54  22
60.63  45
61.23  65
61.62  21

Calculated X-ray diffraction stick pattern of Mn5CrO8 for Cu Ka, from a crystal structure in the Materials Project, relaxed with PBE+U.
Peak positions follow from Bragg's law for the DFT cell and can differ from measured ones.

Crystal structure
a = 6.2315 Å, b = 6.2315 Å, c = 5.9851 Å
α = 118.44°, β = 118.44°, γ = 57.12°
Fractional coordinates of all 14 atoms:
Mn 0.0000 0.0000 0.0000
Mn 0.0000 0.5000 0.5000
Mn 0.3719 0.3719 0.1184
Mn 0.5000 0.0000 0.5000
Mn 0.6281 0.6281 0.8816
Cr 0.0000 0.0000 0.5000
O 0.2171 0.7704 0.7510
O 0.2231 0.2231 0.7023
O 0.2296 0.7829 0.2490
O 0.2495 0.2495 0.2857
O 0.7505 0.7505 0.7143
O 0.7704 0.2171 0.7510
O 0.7769 0.7769 0.2977
O 0.7829 0.2296 0.2490

Largest 12 diffraction maxima, sorted by position, 5 to 70 degrees two-theta:
two_theta  I/Imax
28.65  33
28.76  34
32.75  39
32.86  89
34.95  99
35.03  100
39.18  29
42.83  42
56.40  34
56.51  32
59.31  52
59.56  53

Calculated X-ray diffraction stick pattern of MnCrO4 for Cu Ka, from a crystal structure in the Materials Project, relaxed with PBE+U.
Peak positions follow from Bragg's law for the DFT cell and can differ from measured ones.

Crystal structure
a = 5.1355 Å, b = 5.1355 Å, c = 6.6888 Å
α = 90.00°, β = 90.00°, γ = 113.41°
Fractional coordinates of all 12 atoms:
Mn 0.0000 0.0000 0.0000
Mn 0.0000 0.0000 0.5000
Cr 0.3564 0.6436 0.7500
Cr 0.6436 0.3564 0.2500
O 0.2172 0.2810 0.7500
O 0.2444 0.7556 0.5505
O 0.2444 0.7556 0.9495
O 0.2810 0.2172 0.2500
O 0.7190 0.7828 0.7500
O 0.7556 0.2444 0.0505
O 0.7556 0.2444 0.4495
O 0.7828 0.7190 0.2500

Largest 12 diffraction maxima, sorted by position, 5 to 70 degrees two-theta:
two_theta  I/Imax
18.83  15
20.69  17
23.09  89
24.64  57
31.74  41
32.84  100
35.17  52
47.18  22
50.53  19
57.24  18
60.91  38
66.90  14

Calculated X-ray diffraction stick pattern of MnCrO4 for Cu Ka, from a crystal structure in the Materials Project, relaxed with PBE+U.
Peak positions follow from Bragg's law for the DFT cell and can differ from measured ones.

Crystal structure
a = 6.9670 Å, b = 6.9670 Å, c = 6.9607 Å
α = 100.23°, β = 100.23°, γ = 85.53°
Fractional coordinates of all 24 atoms:
Mn 0.1850 0.8150 0.0000
Mn 0.2075 0.2075 0.3680
Mn 0.7925 0.7925 0.6320
Mn 0.8150 0.1850 0.0000
Cr 0.2549 0.7451 0.5000
Cr 0.2739 0.2739 0.9108
Cr 0.7261 0.7261 0.0892
Cr 0.7451 0.2549 0.5000
O 0.1124 0.7985 0.6811
O 0.1439 0.1439 0.0370
O 0.2015 0.8876 0.3189
O 0.2105 0.2105 0.6698
O 0.2162 0.5071 0.9760
O 0.2196 0.5167 0.3960
O 0.4833 0.7804 0.6040
O 0.4929 0.7838 0.0240
O 0.5071 0.2162 0.9760
O 0.5167 0.2196 0.3960
O 0.7804 0.4833 0.6040
O 0.7838 0.4929 0.0240
O 0.7895 0.7895 0.3302
O 0.7985 0.1124 0.6811
O 0.8561 0.8561 0.9630
O 0.8876 0.2015 0.3189

Largest 12 diffraction maxima, sorted by position, 5 to 70 degrees two-theta:
two_theta  I/Imax
12.93  12
26.02  100
26.39  24
27.43  22
28.14  9
28.62  14
31.43  12
34.03  11
34.36  9
39.48  18
52.90  11
53.48  12

Calculated X-ray diffraction stick pattern of Mn5Cr3O16 for Cu Ka, from a crystal structure in the Materials Project, relaxed with PBE+U.
Peak positions follow from Bragg's law for the DFT cell and can differ from measured ones.

Crystal structure
a = 5.8342 Å, b = 5.8406 Å, c = 19.3583 Å
α = 98.60°, β = 90.08°, γ = 119.92°
Fractional coordinates of all 48 atoms:
Mn 0.0000 0.0000 0.0000
Mn 0.0003 0.0012 0.5001
Mn 0.1252 0.7509 0.8751
Mn 0.2504 0.5011 0.7501
Mn 0.2511 0.5021 0.2501
Mn 0.3751 0.2510 0.6253
Mn 0.4995 0.0000 0.0000
Mn 0.6257 0.7515 0.3748
Mn 0.7503 0.5012 0.7501
Mn 0.7506 0.5022 0.2502
Cr 0.0002 0.5008 0.9998
Cr 0.2501 0.0010 0.7502
Cr 0.5004 0.0012 0.5001
Cr 0.5003 0.5011 0.5000
Cr 0.7507 0.0015 0.2503
Cr 0.8754 0.2512 0.1251
O 0.0447 0.5902 0.1922
O 0.0456 0.1519 0.1916
O 0.0660 0.6329 0.6990
O 0.1047 0.1504 0.6914
O 0.1447 0.3501 0.0586
O 0.1847 0.8693 0.0512
O 0.2055 0.3517 0.5588
O 0.2061 0.9157 0.5594
O 0.2934 0.0877 0.9411
O 0.2941 0.6494 0.9413
O 0.3154 0.1327 0.4492
O 0.3563 0.6494 0.4409
O 0.3956 0.8519 0.8090
O 0.4347 0.3693 0.8012
O 0.4565 0.8528 0.3088
O 0.4572 0.4141 0.3089
O 0.5436 0.5886 0.6915
O 0.5448 0.1502 0.6914
O 0.5658 0.6326 0.1989
O 0.6061 0.1519 0.1916
O 0.6444 0.3530 0.5592
O 0.6853 0.8696 0.5508
O 0.7051 0.3503 0.0585
O 0.7059 0.9119 0.0579
O 0.7947 0.0868 0.4408
O 0.7953 0.6508 0.4413
O 0.8160 0.1329 0.9492
O 0.8550 0.6496 0.9412
O 0.8961 0.8527 0.3088
O 0.9348 0.3696 0.3010
O 0.9557 0.8520 0.8089
O 0.9570 0.4141 0.8089

Largest 12 diffraction maxima, sorted by position, 5 to 70 degrees two-theta:
two_theta  I/Imax
18.61  100
36.07  33
37.74  8
43.83  32
43.91  16
48.03  9
58.00  11
58.11  5
63.74  21
63.82  4
67.01  7
67.10  6

Calculated X-ray diffraction stick pattern of MnCr3O8 for Cu Ka, from a crystal structure in the Materials Project, relaxed with PBE+U.
Peak positions follow from Bragg's law for the DFT cell and can differ from measured ones.

Crystal structure
a = 5.8371 Å, b = 5.8371 Å, c = 8.8855 Å
α = 90.00°, β = 90.00°, γ = 119.41°
Fractional coordinates of all 24 atoms:
Mn 0.1631 0.8369 0.5000
Mn 0.8369 0.1631 0.0000
Cr 0.1692 0.3325 0.2811
Cr 0.3285 0.6715 0.7648
Cr 0.3325 0.1692 0.7811
Cr 0.6675 0.8308 0.2811
Cr 0.6715 0.3285 0.2648
Cr 0.8308 0.6675 0.7811
O 0.0217 0.5499 0.6402
O 0.0248 0.9752 0.6466
O 0.1616 0.3228 0.8786
O 0.1727 0.8273 0.8853
O 0.3228 0.1616 0.3786
O 0.3270 0.6730 0.3735
O 0.4501 0.9783 0.6402
O 0.4950 0.5050 0.6727
O 0.5050 0.4950 0.1727
O 0.5499 0.0217 0.1402
O 0.6730 0.3270 0.8735
O 0.6772 0.8384 0.8786
O 0.8273 0.1727 0.3853
O 0.8384 0.6772 0.3786
O 0.9752 0.0248 0.1466
O 0.9783 0.4501 0.1402

Largest 12 diffraction maxima, sorted by position, 5 to 70 degrees two-theta:
two_theta  I/Imax
19.99  75
20.12  100
20.26  42
26.64  34
35.10  31
36.81  80
37.08  19
40.90  40
47.11  43
47.37  25
63.78  30
63.91  29